Entry 1:
Computed X-ray powder pattern of Ba3CuAg2 for Cu Kα, 1.54184 Å, from a cell relaxed with GGA-PBE.
No peak broadening, texture or thermal motion is included.

Structural model:
abc: 13.5784 4.7467 13.5738
angles: 90.00 90.00 90.00
Space group Pnma (No. 62)
Symmetry-distinct sites (fractional):
Ba 0.0584 0.2500 0.1294 (multiplicity 4)
Ba 0.1163 0.7500 0.5575 (multiplicity 4)
Ba 0.2155 0.2500 0.8046 (multiplicity 4)
Cu 0.1249 0.2500 0.3738 (multiplicity 4)
Ag 0.0319 0.7500 0.3183 (multiplicity 4)
Ag 0.2022 0.7500 0.9905 (multiplicity 4)

The 10 most intense peaks (2θ from 15° to 90°), low angle first:
2θ 26.41, intensity 47; 2θ 27.08, intensity 73; 2θ 27.23, intensity 89; 2θ 28.02, intensity 100; 2θ 29.42, intensity 43; 2θ 30.30, intensity 73; 2θ 33.11, intensity 70; 2θ 35.09, intensity 61; 2θ 37.91, intensity 64; 2θ 43.28, intensity 37

***

Entry 2:
Computed X-ray powder pattern of NdY12Sc5 for Cu Kα, 1.54184 Å, from a cell relaxed with GGA-PBE.
No peak broadening, texture or thermal motion is included.

Structural model:
abc: 11.7706 16.6160 5.5459
angles: 90.00 90.00 90.00
Space group Cmmm (No. 65)
Symmetry-distinct sites (fractional):
Nd 0.0000 0.0000 0.0000 (multiplicity 2)
Y 0.1478 0.3239 0.5000 (multiplicity 8)
Y 0.1538 0.1751 0.0000 (multiplicity 8)
Y 0.1600 0.5000 0.0000 (multiplicity 4)
Y 0.1906 0.0000 0.5000 (multiplicity 4)
Sc 0.0000 0.1460 0.5000 (multiplicity 4)
Sc 0.0000 0.3446 0.0000 (multiplicity 4)
Sc 0.0000 0.5000 0.5000 (multiplicity 2)

The 10 most intense peaks (2θ from 15° to 90°), low angle first:
2θ 18.47, intensity 2; 2θ 23.93, intensity 3; 2θ 24.52, intensity 2; 2θ 32.29, intensity 100; 2θ 46.32, intensity 17; 2θ 57.59, intensity 31; 2θ 64.34, intensity 3; 2θ 67.57, intensity 7; 2θ 76.89, intensity 9; 2θ 76.97, intensity 2